No. 1
For Fe3P4O16, a structure optimized by DFT (GGA+U) gives the computed X-ray powder pattern in this record (λ = 1.5418 Å (Cu Kα)).
Lines closer than 0.1° are merged.

Largest 10 diffraction maxima, in order of rising 2θ, 2θ from 5° to 70°:
d (Å)	2θ/deg	I/Imax	(hkl)
6.824	12.97	30	1 0 -2
4.296	20.68	31	1 1 0
4.214	21.08	41	2 0 -2
3.923	22.66	94	1 0 -4
3.895	22.83	76	1 1 1
3.618	24.61	60	1 1 -3
3.514	25.34	100	0 1 3
3.412	26.12	58	2 0 -4
2.910	30.72	32	1 1 3
2.868	31.19	42	2 1 1

Structural model:
Cell lengths 8.537, 5.134, 15.736 Å; angles 90.00, 113.21, 90.00 degrees
Space group P2_1/c (No. 14)
Asymmetric unit:
Fe  0.000  0.000  0.000
Fe  0.323  0.093  0.303
P  0.025  0.004  0.648
P  0.422  0.059  0.116
O  0.013  0.683  0.937
O  0.051  0.721  0.622
O  0.130  0.523  0.825
O  0.186  0.099  0.729
O  0.249  0.068  0.033
O  0.396  0.012  0.206
O  0.470  0.169  0.897
O  0.475  0.691  0.881



No. 2
For FeP2O7, a structure optimized by DFT (GGA+U) gives the computed X-ray powder pattern in this record (λ = 1.5418 Å (Cu Kα)).
Lines closer than 0.1° are merged.

Largest 10 diffraction maxima, in order of rising 2θ, 2θ from 5° to 70°:
d (Å)	2θ/deg	I/Imax	(hkl)
6.093	14.54	40	0 1 1
5.162	17.18	100	1 1 0
5.059	17.53	13	1 1 -1
3.919	22.69	27	1 1 -2
3.204	27.84	41	2 0 -2
3.093	28.87	16	1 2 1
3.045	29.33	93	0 2 2
2.581	34.76	16	2 2 0
2.208	40.86	14	3 1 -2
2.106	42.95	13	1 3 2

Structural model:
Cell lengths 6.985, 8.251, 9.538 Å; angles 90.00, 108.67, 90.00 degrees
Space group P2_1/c (No. 14)
Asymmetric unit:
Fe  0.223  0.231  0.007
P  0.036  0.583  0.294
P  0.432  0.033  0.795
O  0.006  0.219  0.109
O  0.025  0.085  0.860
O  0.102  0.092  0.366
O  0.265  0.605  0.293
O  0.367  0.056  0.152
O  0.392  0.099  0.639
O  0.420  0.170  0.901